Structure and theoretical X-ray powder pattern of Ca2MgPN4 (a structure optimized by DFT (PBE); Cu Kα (weighted mean of Kα1 and Kα2)).
Peak positions follow from Bragg's law for the DFT cell and can differ from measured ones.

Crystal structure
Cell: 4.730 10.524 18.967 Å, 90.00 90.00 90.00°
Space group Fddd (No. 70, origin choice 2)
Symmetry-distinct sites (fractional):
Ca 0.125 0.125 0.310 x16
Mg 0.125 0.125 0.125 x8
P 0.125 0.125 0.625 x8
N 0.073 0.273 0.829 x32

Main lines, low angle first (10° ≤ 2θ ≤ 80°):
| 2θ/deg | I (rel.) |
| --- | --- |
| 18.7 | 91 |
| 25.0 | 74 |
| 33.1 | 100 |
| 34.1 | 30 |
| 34.9 | 85 |
| 39.9 | 56 |
| 41.9 | 58 |
| 48.0 | 43 |
| 60.2 | 30 |
| 66.4 | 22 |

Structure and theoretical X-ray powder pattern of ScGa6Tc (a structure optimized by DFT (PBE); Cu Kα (weighted mean of Kα1 and Kα2)).
Peak positions follow from Bragg's law for the DFT cell and can differ from measured ones.

Crystal structure
Cell: 9.1261 9.1261 6.1437 Å, 90.00 90.00 120.00°
Space group R-3m (No. 166, hexagonal axes)
Symmetry-distinct sites (fractional):
Sc 0.0000 0.0000 0.0000 x3
Ga 0.0305 0.5152 0.2911 x18
Tc 0.0000 0.0000 0.5000 x3

Main lines, low angle first (10° ≤ 2θ ≤ 80°):
| 2θ/deg | I (rel.) |
| --- | --- |
| 18.3 | 13 |
| 26.8 | 27 |
| 31.2 | 40 |
| 37.1 | 21 |
| 39.5 | 100 |
| 42.2 | 58 |
| 51.2 | 14 |
| 52.6 | 14 |
| 66.5 | 13 |
| 71.6 | 11 |

Copy entry 1 word for word.
Structure and theoretical X-ray powder pattern of Ca2MgPN4 (a structure optimized by DFT (PBE); Cu Kα (weighted mean of Kα1 and Kα2)).
Peak positions follow from Bragg's law for the DFT cell and can differ from measured ones.

Crystal structure
Cell: 4.730 10.524 18.967 Å, 90.00 90.00 90.00°
Space group Fddd (No. 70, origin choice 2)
Symmetry-distinct sites (fractional):
Ca 0.125 0.125 0.310 x16
Mg 0.125 0.125 0.125 x8
P 0.125 0.125 0.625 x8
N 0.073 0.273 0.829 x32

Main lines, low angle first (10° ≤ 2θ ≤ 80°):
| 2θ/deg | I (rel.) |
| --- | --- |
| 18.7 | 91 |
| 25.0 | 74 |
| 33.1 | 100 |
| 34.1 | 30 |
| 34.9 | 85 |
| 39.9 | 56 |
| 41.9 | 58 |
| 48.0 | 43 |
| 60.2 | 30 |
| 66.4 | 22 |